(1)
Pr2Zn3Ga5: computed powder diffractogram (Cu Kα, 1.54184 Å), based on a crystal structure in Alexandria, relaxed with PBE.
Peak positions follow from Bragg's law for the DFT cell and can differ from measured ones.

Peak list (10 most intense, 2θ from 10° to 90°, in order of rising 2θ)
2θ 32.7, I = 100
2θ 34.0, I = 86
2θ 34.1, I = 86
2θ 42.3, I = 93
2θ 47.5, I = 52
2θ 54.4, I = 23
2θ 54.5, I = 23
2θ 65.5, I = 19
2θ 71.9, I = 21
2θ 85.6, I = 21

Structural model:
```
data_Pr2Zn3Ga5
_symmetry_space_group_name_H-M 'P 1'
_symmetry_Int_Tables_number 1
_cell_length_a 8.6311
_cell_length_b 8.6311
_cell_length_c 8.6311
_cell_angle_alpha 103.31
_cell_angle_beta 90.80
_cell_angle_gamma 139.09
loop_
_symmetry_equiv_pos_as_xyz
'x,y,z'
loop_
_atom_site_label
_atom_site_fract_x
_atom_site_fract_y
_atom_site_fract_z
_atom_site_occupancy
Pr1 0.1256 0.2480 0.3735 1
Pr2 0.3744 0.7480 0.1224 1
Pr3 0.6256 0.2520 0.8776 1
Pr4 0.8744 0.7520 0.6265 1
Zn1 0.1265 0.8682 0.9947 1
Zn2 0.2500 0.7500 0.5000 1
Zn3 0.3735 0.3682 0.7418 1
Zn4 0.6265 0.6318 0.2582 1
Zn5 0.7500 0.2500 0.5000 1
Zn6 0.8735 0.1318 0.0053 1
Ga1 0.0038 0.7500 0.2538 1
Ga2 0.1205 0.6395 0.7601 1
Ga3 0.2500 0.2500 0.0000 1
Ga4 0.3795 0.1395 0.5190 1
Ga5 0.4962 0.7500 0.7462 1
Ga6 0.5038 0.2500 0.2538 1
Ga7 0.6205 0.8605 0.4810 1
Ga8 0.7500 0.7500 0.0000 1
Ga9 0.8795 0.3605 0.2399 1
Ga10 0.9962 0.2500 0.7462 1
```

=====

(2)
Ba5Re3O16: computed powder diffractogram (Cu Kα, 1.54184 Å), based on a crystal structure in Alexandria, relaxed with PBE.
Peak positions follow from Bragg's law for the DFT cell and can differ from measured ones.

Peak list (10 most intense, 2θ from 10° to 90°, in order of rising 2θ)
2θ 19.5, I = 27
2θ 22.1, I = 35
2θ 27.1, I = 100
2θ 27.5, I = 85
2θ 28.0, I = 82
2θ 29.0, I = 23
2θ 35.7, I = 29
2θ 39.6, I = 25
2θ 42.0, I = 27
2θ 54.0, I = 21

Structural model:
```
data_Ba5Re3O16
_symmetry_space_group_name_H-M 'P 1'
_symmetry_Int_Tables_number 1
_cell_length_a 11.0398
_cell_length_b 11.0398
_cell_length_c 8.0279
_cell_angle_alpha 90.00
_cell_angle_beta 90.00
_cell_angle_gamma 120.00
loop_
_symmetry_equiv_pos_as_xyz
'x,y,z'
loop_
_atom_site_label
_atom_site_fract_x
_atom_site_fract_y
_atom_site_fract_z
_atom_site_occupancy
Ba1 0.0000 0.2620 0.0000 1
Ba2 0.0000 0.7380 0.5000 1
Ba3 0.2620 0.0000 0.0000 1
Ba4 0.2620 0.2620 0.5000 1
Ba5 0.3333 0.6667 0.2588 1
Ba6 0.3333 0.6667 0.7588 1
Ba7 0.6667 0.3333 0.2588 1
Ba8 0.6667 0.3333 0.7588 1
Ba9 0.7380 0.0000 0.5000 1
Ba10 0.7380 0.7380 0.0000 1
Re1 0.0000 0.3883 0.5544 1
Re2 0.0000 0.6117 0.0544 1
Re3 0.3883 0.0000 0.5544 1
Re4 0.3883 0.3883 0.0544 1
Re5 0.6117 0.0000 0.0544 1
Re6 0.6117 0.6117 0.5544 1
O1 0.0000 0.0000 0.0265 1
O2 0.0000 0.0000 0.5265 1
O3 0.0000 0.2910 0.3798 1
O4 0.0000 0.7090 0.8798 1
O5 0.1320 0.3866 0.6958 1
O6 0.1317 0.5569 0.0141 1
O7 0.1317 0.5748 0.5141 1
O8 0.1320 0.7454 0.1958 1
O9 0.2546 0.3866 0.1958 1
O10 0.2546 0.8680 0.6958 1
O11 0.2910 0.0000 0.3798 1
O12 0.2910 0.2910 0.8798 1
O13 0.3866 0.1320 0.6958 1
O14 0.3866 0.2546 0.1958 1
O15 0.4252 0.5569 0.5141 1
O16 0.4252 0.8683 0.0141 1
O17 0.4431 0.5748 0.0141 1
O18 0.4431 0.8683 0.5141 1
O19 0.5569 0.1317 0.0141 1
O20 0.5569 0.4252 0.5141 1
O21 0.5748 0.1317 0.5141 1
O22 0.5748 0.4431 0.0141 1
O23 0.6134 0.7454 0.6958 1
O24 0.6134 0.8680 0.1958 1
O25 0.7090 0.0000 0.8798 1
O26 0.7090 0.7090 0.3798 1
O27 0.7454 0.1320 0.1958 1
O28 0.7454 0.6134 0.6958 1
O29 0.8680 0.2546 0.6958 1
O30 0.8683 0.4252 0.0141 1
O31 0.8683 0.4431 0.5141 1
O32 0.8680 0.6134 0.1958 1
```

=====

(3)
DyEr4Pb2: computed powder diffractogram (Cu Kα, 1.54184 Å), based on a crystal structure in Alexandria, relaxed with PBE.
Peak positions follow from Bragg's law for the DFT cell and can differ from measured ones.

Peak list (10 most intense, 2θ from 10° to 90°, in order of rising 2θ)
2θ 10.8, I = 28
2θ 23.5, I = 52
2θ 25.9, I = 44
2θ 31.9, I = 70
2θ 32.1, I = 55
2θ 32.7, I = 25
2θ 33.5, I = 100
2θ 46.9, I = 49
2θ 47.5, I = 35
2θ 48.1, I = 37

Structural model:
```
data_DyEr4Pb2
_symmetry_space_group_name_H-M 'P 1'
_symmetry_Int_Tables_number 1
_cell_length_a 5.3539
_cell_length_b 5.3539
_cell_length_c 16.4530
_cell_angle_alpha 90.00
_cell_angle_beta 90.00
_cell_angle_gamma 90.00
loop_
_symmetry_equiv_pos_as_xyz
'x,y,z'
loop_
_atom_site_label
_atom_site_fract_x
_atom_site_fract_y
_atom_site_fract_z
_atom_site_occupancy
Dy1 0.0000 0.0000 0.0000 1
Dy2 0.5000 0.5000 0.5000 1
Er1 0.0000 0.0000 0.1831 1
Er2 0.0000 0.0000 0.8169 1
Er3 0.0000 0.5000 0.0000 1
Er4 0.0000 0.5000 0.5000 1
Er5 0.5000 0.0000 0.0000 1
Er6 0.5000 0.0000 0.5000 1
Er7 0.5000 0.5000 0.3169 1
Er8 0.5000 0.5000 0.6831 1
Pb1 0.0000 0.0000 0.3698 1
Pb2 0.0000 0.0000 0.6302 1
Pb3 0.5000 0.5000 0.1302 1
Pb4 0.5000 0.5000 0.8698 1
```

=====

(4)
SrTl6Sn: computed powder diffractogram (Cu Kα, 1.54184 Å), based on a crystal structure in Alexandria, relaxed with PBE.
Peak positions follow from Bragg's law for the DFT cell and can differ from measured ones.

Peak list (10 most intense, 2θ from 10° to 90°, in order of rising 2θ)
2θ 30.6, I = 30
2θ 31.4, I = 28
2θ 32.7, I = 100
2θ 44.4, I = 22
2θ 55.7, I = 22
2θ 56.8, I = 21
2θ 59.1, I = 9
2θ 59.6, I = 8
2θ 68.5, I = 11
2θ 74.3, I = 10

Structural model:
```
data_SrTl6Sn
_symmetry_space_group_name_H-M 'P 1'
_symmetry_Int_Tables_number 1
_cell_length_a 7.4016
_cell_length_b 11.6917
_cell_length_c 5.6903
_cell_angle_alpha 90.00
_cell_angle_beta 90.00
_cell_angle_gamma 90.00
loop_
_symmetry_equiv_pos_as_xyz
'x,y,z'
loop_
_atom_site_label
_atom_site_fract_x
_atom_site_fract_y
_atom_site_fract_z
_atom_site_occupancy
Sr1 0.0000 0.0000 0.0000 1
Sr2 0.5000 0.5000 0.0000 1
Tl1 0.0000 0.2456 0.5000 1
Tl2 0.0000 0.7544 0.5000 1
Tl3 0.2252 0.5000 0.5000 1
Tl4 0.2500 0.2500 0.0000 1
Tl5 0.2500 0.7500 0.0000 1
Tl6 0.2748 0.0000 0.5000 1
Tl7 0.5000 0.2544 0.5000 1
Tl8 0.5000 0.7456 0.5000 1
Tl9 0.7252 0.0000 0.5000 1
Tl10 0.7500 0.2500 0.0000 1
Tl11 0.7500 0.7500 0.0000 1
Tl12 0.7748 0.5000 0.5000 1
Sn1 0.0000 0.5000 0.0000 1
Sn2 0.5000 0.0000 0.0000 1
```

=====

(5)
DyNbP2Rh5: computed powder diffractogram (Cu Kα, 1.54184 Å), based on a crystal structure in Alexandria, relaxed with PBE.
Peak positions follow from Bragg's law for the DFT cell and can differ from measured ones.

Peak list (10 most intense, 2θ from 10° to 90°, in order of rising 2θ)
2θ 25.9, I = 62
2θ 32.8, I = 64
2θ 36.2, I = 100
2θ 45.3, I = 63
2θ 47.7, I = 47
2θ 52.9, I = 35
2θ 55.0, I = 25
2θ 66.0, I = 20
2θ 72.4, I = 24
2θ 77.7, I = 21

Structural model:
```
data_DyNbP2Rh5
_symmetry_space_group_name_H-M 'P 1'
_symmetry_Int_Tables_number 1
_cell_length_a 4.0013
_cell_length_b 4.0013
_cell_length_c 10.3271
_cell_angle_alpha 90.00
_cell_angle_beta 90.00
_cell_angle_gamma 90.00
loop_
_symmetry_equiv_pos_as_xyz
'x,y,z'
loop_
_atom_site_label
_atom_site_fract_x
_atom_site_fract_y
_atom_site_fract_z
_atom_site_occupancy
Dy1 0.0000 0.0000 0.0000 1
Nb1 0.5000 0.5000 0.5000 1
P1 0.5000 0.5000 0.2163 1
P2 0.5000 0.5000 0.7837 1
Rh1 0.0000 0.5000 0.3272 1
Rh2 0.0000 0.5000 0.6728 1
Rh3 0.5000 0.0000 0.3272 1
Rh4 0.5000 0.0000 0.6728 1
Rh5 0.5000 0.5000 0.0000 1
```

=====

(6)
Np2Al2FeGe4: computed powder diffractogram (Cu Kα, 1.54184 Å), based on a crystal structure in Alexandria, relaxed with PBE.
Peak positions follow from Bragg's law for the DFT cell and can differ from measured ones.

Peak list (10 most intense, 2θ from 10° to 90°, in order of rising 2θ)
2θ 20.3, I = 43
2θ 29.5, I = 69
2θ 36.1, I = 100
2θ 41.2, I = 46
2θ 43.2, I = 20
2θ 51.5, I = 28
2θ 59.7, I = 15
2θ 61.3, I = 27
2θ 71.8, I = 25
2θ 76.5, I = 14

Structural model:
```
data_Np2Al2FeGe4
_symmetry_space_group_name_H-M 'P 1'
_symmetry_Int_Tables_number 1
_cell_length_a 6.0572
_cell_length_b 6.0572
_cell_length_c 6.0572
_cell_angle_alpha 118.51
_cell_angle_beta 118.51
_cell_angle_gamma 92.59
loop_
_symmetry_equiv_pos_as_xyz
'x,y,z'
loop_
_atom_site_label
_atom_site_fract_x
_atom_site_fract_y
_atom_site_fract_z
_atom_site_occupancy
Np1 0.2500 0.7500 0.5000 1
Np2 0.7500 0.2500 0.5000 1
Al1 0.2177 0.2177 0.0000 1
Al2 0.7823 0.7823 0.0000 1
Fe1 0.5000 0.5000 0.0000 1
Ge1 0.2303 0.2303 0.4607 1
Ge2 0.2303 0.7697 0.0000 1
Ge3 0.7697 0.2303 0.0000 1
Ge4 0.7697 0.7697 0.5393 1
```